HfCuNi2: theoretical powder XRD pattern (λ = 1.5418 Å (Cu Kα)), based on a structure optimized by DFT (GGA-PBE).

Principal peaks in the range 2θ = 5–70°, low angle first:
2θ 25.41, rel. 13
2θ 26.51, rel. 22
2θ 28.19, rel. 17
2θ 32.89, rel. 12
2θ 38.77, rel. 13
2θ 38.90, rel. 22
2θ 41.76, rel. 39
2θ 44.26, rel. 45
2θ 44.38, rel. 100
2θ 58.35, rel. 21

Atomic structure:
```
data_HfCuNi2
_chemical_formula_sum 'Hf2 Cu2 Ni4'
_cell_length_a 4.3264
_cell_length_b 5.3411
_cell_length_c 4.6457
_cell_angle_alpha 90.00
_cell_angle_beta 90.00
_cell_angle_gamma 90.00
_space_group_name_H-M_alt 'P 1'
_space_group_IT_number 1
_space_group_name_Hall 'P 1'
loop_
_atom_site_label
_atom_site_type_symbol
_atom_site_fract_x
_atom_site_fract_y
_atom_site_fract_z
_atom_site_occupancy
Hf1 Hf 0.2500 0.2500 0.1600 1
Hf2 Hf 0.7500 0.7500 0.8400 1
Cu1 Cu 0.2500 0.7500 0.2070 1
Cu2 Cu 0.7500 0.2500 0.7930 1
Ni1 Ni 0.2500 0.0030 0.6654 1
Ni2 Ni 0.2500 0.4970 0.6654 1
Ni3 Ni 0.7500 0.5030 0.3346 1
Ni4 Ni 0.7500 0.9970 0.3346 1
```



Hf3Cu2Ni4: theoretical powder XRD pattern (λ = 1.5418 Å (Cu Kα)), based on a structure optimized by DFT (GGA-PBE).

Principal peaks in the range 2θ = 5–70°, low angle first:
2θ 23.87, rel. 45
2θ 29.49, rel. 29
2θ 36.55, rel. 15
2θ 38.95, rel. 53
2θ 39.96, rel. 100
2θ 42.96, rel. 81
2θ 44.49, rel. 10
2θ 49.05, rel. 54
2θ 64.33, rel. 11
2θ 64.35, rel. 12

Atomic structure:
```
data_Hf3Cu2Ni4
_chemical_formula_sum 'Hf6 Cu4 Ni8'
_cell_length_a 7.7320
_cell_length_b 7.7320
_cell_length_c 4.6553
_cell_angle_alpha 97.79
_cell_angle_beta 97.79
_cell_angle_gamma 73.47
_space_group_name_H-M_alt 'P 1'
_space_group_IT_number 1
_space_group_name_Hall 'P 1'
loop_
_atom_site_label
_atom_site_type_symbol
_atom_site_fract_x
_atom_site_fract_y
_atom_site_fract_z
_atom_site_occupancy
Hf1 Hf 0.1341 0.8659 0.7500 1
Hf2 Hf 0.2129 0.4549 0.9137 1
Hf3 Hf 0.4549 0.2129 0.4137 1
Hf4 Hf 0.5451 0.7871 0.5863 1
Hf5 Hf 0.7871 0.5451 0.0863 1
Hf6 Hf 0.8659 0.1341 0.2500 1
Cu1 Cu 0.0118 0.7651 0.2009 1
Cu2 Cu 0.2349 0.9882 0.2991 1
Cu3 Cu 0.7651 0.0118 0.7009 1
Cu4 Cu 0.9882 0.2349 0.7991 1
Ni1 Ni 0.0911 0.3482 0.3581 1
Ni2 Ni 0.3208 0.5680 0.4664 1
Ni3 Ni 0.3482 0.0911 0.8581 1
Ni4 Ni 0.4320 0.6792 0.0336 1
Ni5 Ni 0.5680 0.3208 0.9664 1
Ni6 Ni 0.6518 0.9089 0.1419 1
Ni7 Ni 0.6792 0.4320 0.5336 1
Ni8 Ni 0.9089 0.6518 0.6419 1
```



Please write out number 1 again, unchanged.
HfCuNi2: theoretical powder XRD pattern (λ = 1.5418 Å (Cu Kα)), based on a structure optimized by DFT (GGA-PBE).

Principal peaks in the range 2θ = 5–70°, low angle first:
2θ 25.41, rel. 13
2θ 26.51, rel. 22
2θ 28.19, rel. 17
2θ 32.89, rel. 12
2θ 38.77, rel. 13
2θ 38.90, rel. 22
2θ 41.76, rel. 39
2θ 44.26, rel. 45
2θ 44.38, rel. 100
2θ 58.35, rel. 21

Atomic structure:
```
data_HfCuNi2
_chemical_formula_sum 'Hf2 Cu2 Ni4'
_cell_length_a 4.3264
_cell_length_b 5.3411
_cell_length_c 4.6457
_cell_angle_alpha 90.00
_cell_angle_beta 90.00
_cell_angle_gamma 90.00
_space_group_name_H-M_alt 'P 1'
_space_group_IT_number 1
_space_group_name_Hall 'P 1'
loop_
_atom_site_label
_atom_site_type_symbol
_atom_site_fract_x
_atom_site_fract_y
_atom_site_fract_z
_atom_site_occupancy
Hf1 Hf 0.2500 0.2500 0.1600 1
Hf2 Hf 0.7500 0.7500 0.8400 1
Cu1 Cu 0.2500 0.7500 0.2070 1
Cu2 Cu 0.7500 0.2500 0.7930 1
Ni1 Ni 0.2500 0.0030 0.6654 1
Ni2 Ni 0.2500 0.4970 0.6654 1
Ni3 Ni 0.7500 0.5030 0.3346 1
Ni4 Ni 0.7500 0.9970 0.3346 1
```



Q: Number 2 is which compound?
A: Hf3Cu2Ni4